Entry 1:
This entry pairs a crystal structure of Ba8As5I with its theoretical PXRD pattern. Radiation: Cu Kα (λ = 1.5418 Å). Structure: a cell relaxed with GGA-PBE.
Neutral-atom scattering factors, no anomalous dispersion.

Crystal structure
abc: 8.8156 8.8156 8.8156
angles: 109.20 109.20 110.01
Fractional positions:
Ba 0.2351 0.4799 0.0882
Ba 0.3752 0.1312 0.3684
Ba 0.3917 0.1469 0.9118
Ba 0.5201 0.6083 0.7552
Ba 0.7628 0.0068 0.6316
Ba 0.8531 0.7649 0.2448
Ba 0.8688 0.2372 0.2440
Ba 0.9932 0.6248 0.7560
As 0.0000 0.0000 0.0000
As 0.1320 0.2431 0.6229
As 0.4909 0.8680 0.1112
As 0.6202 0.5091 0.3771
As 0.7569 0.3798 0.8888
I 0.2500 0.7500 0.5000

Most intense lines, 10° ≤ 2θ ≤ 80°, sorted by position:
- 2θ 24.78, d = 3.593 Å, rel. 15
- 2θ 27.63, d = 3.228 Å, rel. 100
- 2θ 27.87, d = 3.201 Å, rel. 52
- 2θ 32.87, d = 2.725 Å, rel. 74
- 2θ 33.03, d = 2.712 Å, rel. 22
- 2θ 41.62, d = 2.170 Å, rel. 13
- 2θ 43.48, d = 2.081 Å, rel. 14
- 2θ 45.29, d = 2.002 Å, rel. 18
- 2θ 45.57, d = 1.991 Å, rel. 14
- 2θ 55.50, d = 1.656 Å, rel. 20

---

Entry 2:
This entry pairs a crystal structure of Ba8NiAs3I4 with its theoretical PXRD pattern. Radiation: Cu Kα (λ = 1.5418 Å). Structure: a cell relaxed with GGA-PBE.
Neutral-atom scattering factors, no anomalous dispersion.

Crystal structure
abc: 9.6277 9.6277 10.0956
angles: 118.40 118.40 59.58
Fractional positions:
Ba 0.2286 0.7413 0.6986
Ba 0.2399 0.2399 0.7102
Ba 0.2587 0.7714 0.3014
Ba 0.2654 0.2654 0.2944
Ba 0.7346 0.7346 0.7056
Ba 0.7413 0.2286 0.6986
Ba 0.7601 0.7601 0.2898
Ba 0.7714 0.2587 0.3014
Ni 0.0000 0.0000 0.5000
As 0.0000 0.5000 0.5000
As 0.5000 0.0000 0.5000
As 0.5000 0.5000 0.5000
I 0.0000 0.0000 0.0000
I 0.0000 0.5000 0.0000
I 0.5000 0.0000 0.0000
I 0.5000 0.5000 0.0000

Most intense lines, 10° ≤ 2θ ≤ 80°, sorted by position:
- 2θ 25.49, d = 3.495 Å, rel. 52
- 2θ 25.69, d = 3.468 Å, rel. 100
- 2θ 27.75, d = 3.215 Å, rel. 19
- 2θ 35.63, d = 2.520 Å, rel. 48
- 2θ 37.36, d = 2.407 Å, rel. 41
- 2θ 37.61, d = 2.392 Å, rel. 20
- 2θ 45.80, d = 1.981 Å, rel. 10
- 2θ 45.98, d = 1.974 Å, rel. 21
- 2θ 50.00, d = 1.824 Å, rel. 11
- 2θ 66.27, d = 1.410 Å, rel. 10

---

Entry 3:
This entry pairs a crystal structure of Ba8As3I4O with its theoretical PXRD pattern. Radiation: Cu Kα (λ = 1.5418 Å). Structure: a cell relaxed with GGA-PBE.
Neutral-atom scattering factors, no anomalous dispersion.

Crystal structure
abc: 9.3913 9.3913 9.9746
angles: 118.25 118.25 59.74
Fractional positions:
Ba 0.2187 0.7544 0.6922
Ba 0.2295 0.2295 0.7016
Ba 0.2456 0.7813 0.3078
Ba 0.2631 0.2631 0.2889
Ba 0.7369 0.7369 0.7111
Ba 0.7544 0.2187 0.6922
Ba 0.7705 0.7705 0.2984
Ba 0.7813 0.2456 0.3078
As 0.0000 0.5000 0.5000
As 0.5000 0.0000 0.5000
As 0.5000 0.5000 0.5000
I 0.0000 0.0000 0.0000
I 0.0000 0.5000 0.0000
I 0.5000 0.0000 0.0000
I 0.5000 0.5000 0.0000
O 0.0000 0.0000 0.5000

Most intense lines, 10° ≤ 2θ ≤ 80°, sorted by position:
- 2θ 26.14, d = 3.409 Å, rel. 100
- 2θ 28.31, d = 3.152 Å, rel. 11
- 2θ 32.13, d = 2.786 Å, rel. 8
- 2θ 36.13, d = 2.486 Å, rel. 10
- 2θ 36.24, d = 2.479 Å, rel. 20
- 2θ 38.34, d = 2.348 Å, rel. 26
- 2θ 38.49, d = 2.339 Å, rel. 13
- 2θ 47.11, d = 1.929 Å, rel. 13
- 2θ 50.86, d = 1.795 Å, rel. 8
- 2θ 53.79, d = 1.704 Å, rel. 9

---

Entry 4:
This entry pairs a crystal structure of Ba3In2As4 with its theoretical PXRD pattern. Radiation: Cu Kα (λ = 1.5418 Å). Structure: a cell relaxed with GGA-PBE.
Neutral-atom scattering factors, no anomalous dispersion.

Crystal structure
abc: 7.9029 7.9029 10.3708
angles: 122.54 122.54 33.27
Fractional positions:
Ba 0.0000 0.0000 0.0000
Ba 0.3699 0.3699 0.2574
Ba 0.6301 0.6301 0.7426
In 0.3156 0.3156 0.6544
In 0.6844 0.6844 0.3456
As 0.1001 0.1001 0.4051
As 0.3160 0.3160 0.9080
As 0.6840 0.6840 0.0920
As 0.8999 0.8999 0.5949

Most intense lines, 10° ≤ 2θ ≤ 80°, sorted by position:
- 2θ 25.98, d = 3.429 Å, rel. 45
- 2θ 26.51, d = 3.362 Å, rel. 100
- 2θ 29.09, d = 3.069 Å, rel. 93
- 2θ 31.23, d = 2.864 Å, rel. 26
- 2θ 32.33, d = 2.769 Å, rel. 26
- 2θ 32.83, d = 2.728 Å, rel. 24
- 2θ 39.85, d = 2.262 Å, rel. 46
- 2θ 42.04, d = 2.149 Å, rel. 42
- 2θ 47.11, d = 1.929 Å, rel. 24
- 2θ 53.63, d = 1.709 Å, rel. 22

---

Entry 5:
This entry pairs a crystal structure of Ba2In5As5 with its theoretical PXRD pattern. Radiation: Cu Kα (λ = 1.5418 Å). Structure: a cell relaxed with GGA-PBE.
Neutral-atom scattering factors, no anomalous dispersion.

Crystal structure
abc: 17.8186 4.3677 18.2790
angles: 90.00 90.00 90.00
Fractional positions:
Ba 0.0203 0.2500 0.1204
Ba 0.0431 0.2500 0.6295
Ba 0.4569 0.7500 0.1295
Ba 0.4797 0.7500 0.6204
Ba 0.5203 0.2500 0.3796
Ba 0.5431 0.2500 0.8705
Ba 0.9569 0.7500 0.3705
Ba 0.9797 0.7500 0.8796
In 0.1567 0.2500 0.3103
In 0.1709 0.7500 0.4708
In 0.1723 0.2500 0.9413
In 0.1884 0.7500 0.7787
In 0.2118 0.7500 0.1267
In 0.2882 0.2500 0.6266
In 0.3116 0.2500 0.2787
In 0.3277 0.7500 0.4413
In 0.3291 0.2500 0.9708
In 0.3433 0.7500 0.8103
In 0.6567 0.2500 0.1897
In 0.6709 0.7500 0.0292
In 0.6723 0.2500 0.5587
In 0.6884 0.7500 0.7213
In 0.7118 0.7500 0.3734
In 0.7882 0.2500 0.8734
In 0.8116 0.2500 0.2213
In 0.8277 0.7500 0.0587
In 0.8291 0.2500 0.5292
In 0.8433 0.7500 0.6897
As 0.0817 0.2500 0.4416
As 0.1029 0.2500 0.8087
As 0.1059 0.7500 0.2350
As 0.1142 0.7500 0.0118
As 0.1947 0.7500 0.6252
As 0.3053 0.2500 0.1252
As 0.3858 0.2500 0.5118
As 0.3941 0.2500 0.7350
As 0.3971 0.7500 0.3087
As 0.4183 0.7500 0.9416
As 0.5817 0.2500 0.0584
As 0.6029 0.2500 0.6913
As 0.6059 0.7500 0.2650
As 0.6142 0.7500 0.4882
As 0.6947 0.7500 0.8748
As 0.8053 0.2500 0.3748
As 0.8858 0.2500 0.9882
As 0.8941 0.2500 0.7650
As 0.8971 0.7500 0.1913
As 0.9183 0.7500 0.5584

Most intense lines, 10° ≤ 2θ ≤ 80°, sorted by position:
- 2θ 26.85, d = 3.320 Å, rel. 37
- 2θ 27.04, d = 3.298 Å, rel. 42
- 2θ 27.16, d = 3.284 Å, rel. 100
- 2θ 27.97, d = 3.190 Å, rel. 42
- 2θ 28.62, d = 3.119 Å, rel. 39
- 2θ 29.75, d = 3.003 Å, rel. 67
- 2θ 30.04, d = 2.974 Å, rel. 30
- 2θ 36.30, d = 2.474 Å, rel. 29
- 2θ 41.34, d = 2.184 Å, rel. 68
- 2θ 51.76, d = 1.766 Å, rel. 29

---

Entry 6:
This entry pairs a crystal structure of Ba2In2SbAs2 with its theoretical PXRD pattern. Radiation: Cu Kα (λ = 1.5418 Å). Structure: a cell relaxed with GGA-PBE.
Neutral-atom scattering factors, no anomalous dispersion.

Crystal structure
abc: 13.8716 4.4131 9.2948
angles: 90.00 118.04 90.00
Fractional positions:
Ba 0.0282 0.0000 0.2367
Ba 0.4718 0.5000 0.7633
Ba 0.5282 0.5000 0.2367
Ba 0.9718 0.0000 0.7633
In 0.2072 0.5000 0.8211
In 0.2928 0.0000 0.1789
In 0.7072 0.0000 0.8211
In 0.7928 0.5000 0.1789
Sb 0.0000 0.5000 0.5000
Sb 0.5000 0.0000 0.5000
As 0.1523 0.5000 0.0882
As 0.3477 0.0000 0.9118
As 0.6523 0.0000 0.0882
As 0.8477 0.5000 0.9118

Most intense lines, 10° ≤ 2θ ≤ 80°, sorted by position:
- 2θ 10.78, d = 8.204 Å, rel. 37
- 2θ 13.38, d = 6.619 Å, rel. 37
- 2θ 22.41, d = 3.968 Å, rel. 38
- 2θ 28.00, d = 3.187 Å, rel. 83
- 2θ 29.82, d = 2.996 Å, rel. 68
- 2θ 30.26, d = 2.953 Å, rel. 100
- 2θ 32.04, d = 2.794 Å, rel. 52
- 2θ 33.06, d = 2.710 Å, rel. 57
- 2θ 40.90, d = 2.207 Å, rel. 62
- 2θ 52.86, d = 1.732 Å, rel. 45

---

Entry 7:
This entry pairs a crystal structure of Ba2As2Ir2N with its theoretical PXRD pattern. Radiation: Cu Kα (λ = 1.5418 Å). Structure: a cell relaxed with GGA-PBE.
Neutral-atom scattering factors, no anomalous dispersion.

Crystal structure
abc: 4.2474 6.4339 6.6975
angles: 101.59 107.52 103.97
Fractional positions:
Ba 0.2355 0.1898 0.3229
Ba 0.7645 0.8102 0.6771
As 0.0210 0.3779 0.7714
As 0.9790 0.6221 0.2286
Ir 0.4559 0.7248 0.0676
Ir 0.5441 0.2752 0.9324
N 0.5000 0.0000 0.0000

Most intense lines, 10° ≤ 2θ ≤ 80°, sorted by position:
- 2θ 14.52, d = 6.102 Å, rel. 65
- 2θ 28.69, d = 3.112 Å, rel. 70
- 2θ 29.98, d = 2.981 Å, rel. 100
- 2θ 31.51, d = 2.839 Å, rel. 46
- 2θ 31.81, d = 2.813 Å, rel. 51
- 2θ 33.10, d = 2.707 Å, rel. 32
- 2θ 34.72, d = 2.584 Å, rel. 40
- 2θ 36.84, d = 2.439 Å, rel. 27
- 2θ 37.27, d = 2.413 Å, rel. 33
- 2θ 42.79, d = 2.113 Å, rel. 32

---

Entry 8:
This entry pairs a crystal structure of BaAsIrO5 with its theoretical PXRD pattern. Radiation: Cu Kα (λ = 1.5418 Å). Structure: a cell relaxed with GGA-PBE.
Neutral-atom scattering factors, no anomalous dispersion.

Crystal structure
abc: 6.0463 6.0463 7.3969
angles: 103.72 103.72 107.60
Fractional positions:
Ba 0.1584 0.8416 0.7500
Ba 0.8416 0.1584 0.2500
As 0.1965 0.8035 0.2500
As 0.8035 0.1965 0.7500
Ir 0.5000 0.5000 0.0000
Ir 0.5000 0.5000 0.5000
O 0.1051 0.2773 0.9183
O 0.2051 0.6050 0.3911
O 0.2773 0.1051 0.4183
O 0.3950 0.7949 0.1089
O 0.4283 0.5717 0.7500
O 0.5717 0.4283 0.2500
O 0.6050 0.2051 0.8911
O 0.7227 0.8949 0.5817
O 0.7949 0.3950 0.6089
O 0.8949 0.7227 0.0817

Most intense lines, 10° ≤ 2θ ≤ 80°, sorted by position:
- 2θ 16.31, d = 5.433 Å, rel. 37
- 2θ 25.94, d = 3.434 Å, rel. 100
- 2θ 27.27, d = 3.270 Å, rel. 82
- 2θ 30.70, d = 2.912 Å, rel. 99
- 2θ 32.17, d = 2.782 Å, rel. 57
- 2θ 34.76, d = 2.581 Å, rel. 34
- 2θ 35.62, d = 2.521 Å, rel. 35
- 2θ 40.26, d = 2.240 Å, rel. 29
- 2θ 50.39, d = 1.811 Å, rel. 29
- 2θ 57.89, d = 1.593 Å, rel. 20